(1)
Ac3InPb2: calculated X-ray diffraction stick pattern (Cu Kα X-rays), based on a cell relaxed with PBE.
Intensities are scaled so that the largest is 100.

Peak list (8 most intense, 10 to 90 degrees two-theta, by angle)
| 2θ/deg | d (Å) | I/Imax | h k l |
| --- | --- | --- | --- |
| 28.78 | 3.102 | 49.3 | 0 2 1 |
| 29.37 | 3.041 | 58.9 | 4 0 -2 |
| 29.50 | 3.028 | 21.9 | 2 2 -1 |
| 30.40 | 2.940 | 100.0 | 6 0 0 |
| 31.56 | 2.835 | 40.5 | 2 2 1 |
| 33.52 | 2.673 | 33.0 | 4 2 -1 |
| 39.96 | 2.256 | 22.8 | 6 2 -1 |
| 52.74 | 1.736 | 21.2 | 10 0 -2 |

Structure:
```
data_Ac3InPb2
_chemical_formula_sum 'Ac12 In4 Pb8'
_cell_length_a 18.1281
_cell_length_b 6.9828
_cell_length_c 6.9454
_cell_angle_alpha 90.00
_cell_angle_beta 103.26
_cell_angle_gamma 90.00
_symmetry_space_group_name_H-M 'C 1 2/c 1'
_symmetry_Int_Tables_number 15
loop_
_symmetry_equiv_pos_as_xyz
'x,y,z'
'-x,-y,-z'
'-x,y,-z+1/2'
'x,-y,z+1/2'
'x+1/2,y+1/2,z'
'-x+1/2,-y+1/2,-z'
'-x+1/2,y+1/2,-z+1/2'
'x+1/2,-y+1/2,z+1/2'
loop_
_atom_site_label
_atom_site_type_symbol
_atom_site_fract_x
_atom_site_fract_y
_atom_site_fract_z
_atom_site_occupancy
Ac1 Ac 0.0000 0.1462 0.2500 1
Ac2 Ac 0.1722 0.3846 0.6109 1
In1 In 0.0000 0.3599 0.7500 1
Pb1 Pb 0.1580 0.1099 0.0491 1
```


(2)
ThAl4Tc: calculated X-ray diffraction stick pattern (Cu Kα X-rays), based on a cell relaxed with PBE.
Intensities are scaled so that the largest is 100.

Peak list (8 most intense, 10 to 90 degrees two-theta, by angle)
| 2θ/deg | d (Å) | I/Imax | h k l |
| --- | --- | --- | --- |
| 20.94 | 4.243 | 73.6 | 0 1 0 |
| 22.97 | 3.872 | 67.9 | 2 0 0 |
| 27.92 | 3.196 | 62.1 | 1 0 2 |
| 31.27 | 2.860 | 71.6 | 2 1 0 |
| 33.84 | 2.649 | 48.4 | 2 1 1 |
| 35.16 | 2.553 | 100.0 | 1 1 2 |
| 42.62 | 2.121 | 30.7 | 0 2 0 |
| 48.77 | 1.867 | 29.4 | 3 1 2 |

Structure:
```
data_ThAl4Tc
_chemical_formula_sum 'Th2 Al8 Tc2'
_cell_length_a 7.7450
_cell_length_b 4.2428
_cell_length_c 7.0164
_cell_angle_alpha 90.00
_cell_angle_beta 90.00
_cell_angle_gamma 90.00
_symmetry_space_group_name_H-M 'P m m a'
_symmetry_Int_Tables_number 51
loop_
_symmetry_equiv_pos_as_xyz
'x,y,z'
'-x,-y,-z'
'-x+1/2,-y,z'
'x+1/2,y,-z'
'x+1/2,-y,-z'
'-x+1/2,y,z'
'-x,y,-z'
'x,-y,z'
loop_
_atom_site_label
_atom_site_type_symbol
_atom_site_fract_x
_atom_site_fract_y
_atom_site_fract_z
_atom_site_occupancy
Th1 Th 0.2500 0.0000 0.1267 1
Al1 Al 0.0000 0.0000 0.5000 1
Al2 Al 0.0665 0.5000 0.8093 1
Al3 Al 0.2500 0.5000 0.4681 1
Tc1 Tc 0.2500 0.0000 0.7089 1
```


(3)
Tm3Ge3Ru: calculated X-ray diffraction stick pattern (Cu Kα X-rays), based on a cell relaxed with PBE.
Intensities are scaled so that the largest is 100.

Peak list (8 most intense, 10 to 90 degrees two-theta, by angle)
| 2θ/deg | d (Å) | I/Imax | h k l |
| --- | --- | --- | --- |
| 33.09 | 2.707 | 100.0 | 1 1 3 |
| 33.27 | 2.693 | 23.6 | 3 1 -2 |
| 33.70 | 2.660 | 88.6 | 4 0 -2 |
| 34.98 | 2.565 | 19.4 | 3 1 -3 |
| 37.98 | 2.369 | 32.4 | 3 1 -4 |
| 40.68 | 2.218 | 59.0 | 3 1 2 |
| 42.23 | 2.140 | 20.5 | 0 0 6 |
| 42.71 | 2.117 | 45.1 | 0 2 0 |

Structure:
```
data_Tm3Ge3Ru
_chemical_formula_sum 'Tm12 Ge12 Ru4'
_cell_length_a 10.6363
_cell_length_b 4.2339
_cell_length_c 13.6939
_cell_angle_alpha 90.00
_cell_angle_beta 110.34
_cell_angle_gamma 90.00
_symmetry_space_group_name_H-M 'C 1 2/m 1'
_symmetry_Int_Tables_number 12
loop_
_symmetry_equiv_pos_as_xyz
'x,y,z'
'-x,-y,-z'
'-x,y,-z'
'x,-y,z'
'x+1/2,y+1/2,z'
'-x+1/2,-y+1/2,-z'
'-x+1/2,y+1/2,-z'
'x+1/2,-y+1/2,z'
loop_
_atom_site_label
_atom_site_type_symbol
_atom_site_fract_x
_atom_site_fract_y
_atom_site_fract_z
_atom_site_occupancy
Tm1 Tm 0.0231 0.0000 0.3774 1
Tm2 Tm 0.0989 0.0000 0.9201 1
Tm3 Tm 0.2421 0.0000 0.2295 1
Ge1 Ge 0.0415 0.5000 0.2380 1
Ge2 Ge 0.1254 0.5000 0.0741 1
Ge3 Ge 0.1340 0.5000 0.5454 1
Ru1 Ru 0.2459 0.5000 0.4116 1
```